Simulated PXRD pattern of TiVPb2O6 for Cu Kα, from a crystal structure in Alexandria, relaxed with GGA+U.
Intensities are scaled so that the largest is 100.

Cell and atoms:
a b c (Å): 6.172 6.172 6.172
angles (deg): 127.80 127.80 76.95
Sites, in units of the cell vectors:
Ti1 0.000 0.000 0.000
V1 0.501 0.501 0.000
Pb1 0.284 0.784 0.500
Pb2 0.784 0.284 0.500
O1 0.180 0.180 0.000
O2 0.192 0.192 0.501
O3 0.192 0.691 0.000
O4 0.677 0.677 0.000
O5 0.691 0.192 0.000
O6 0.691 0.691 0.499

Most intense lines, 2θ from 10° to 90°, by angle:
2θ 18.36, intensity 29
2θ 23.16, intensity 28
2θ 29.72, intensity 100
2θ 32.99, intensity 36
2θ 38.01, intensity 28
2θ 56.90, intensity 33